1.
Starting from a DFT-relaxed cell (GGA-PBE, Alexandria), the X-ray powder pattern of InHg6Pb was simulated for Cu Kα (λ = 1.5418 Å).

```
InHg6Pb
1.0
4.753 0.000 0.000
0.000 4.753 0.000
0.000 0.000 9.513
In Hg Pb
1 6 1
Cartesian
0.000 0.000 0.000 In
0.000 2.377 2.325 Hg
0.000 2.377 7.188 Hg
2.377 0.000 2.325 Hg
2.377 0.000 7.188 Hg
2.377 2.377 0.000 Hg
2.377 2.377 4.757 Hg
0.000 0.000 4.757 Pb
```

Peak list (6 most intense, 15 to 90 degrees two-theta, sorted by position)
2θ (°), I/Imax
32.62, 100
37.85, 51
54.60, 35
65.06, 42
68.35, 12
89.95, 19



2.
Starting from a DFT-relaxed cell (GGA-PBE, Alexandria), the X-ray powder pattern of Nd5ErAl6 was simulated for Cu Kα (λ = 1.5418 Å).

```
Nd5ErAl6
1.0
-2.622 3.690 7.859
2.622 -3.690 7.859
2.622 3.690 -7.859
Nd Er Al
5 1 6
Cartesian
0.000 0.000 0.000 Nd
2.622 0.000 2.564 Nd
0.000 0.000 5.137 Nd
0.000 0.000 10.580 Nd
0.000 3.690 5.294 Nd
0.000 3.690 0.000 Er
2.622 -1.772 5.304 Al
2.622 1.987 0.000 Al
0.000 1.918 2.555 Al
2.622 1.772 5.304 Al
0.000 1.704 7.859 Al
0.000 5.463 2.555 Al
```

Peak list (6 most intense, 15 to 90 degrees two-theta, sorted by position)
2θ (°), I/Imax
24.01, 39
24.12, 20
34.27, 100
42.30, 18
55.46, 16
61.31, 24



3.
Starting from a DFT-relaxed cell (GGA-PBE, Alexandria), the X-ray powder pattern of Np3As2H4Pd2 was simulated for Cu Kα (λ = 1.5418 Å).

```
Np3As2H4Pd2
1.0
-1.910 1.910 11.613
1.910 -1.910 11.613
1.910 1.910 -11.613
Np As H Pd
3 2 4 2
Cartesian
0.000 0.000 0.000 Np
0.000 0.000 9.174 Np
0.000 0.000 14.051 Np
0.000 0.000 6.167 As
0.000 0.000 17.059 As
1.910 0.000 1.162 H
1.910 0.000 10.451 H
0.000 1.910 1.162 H
0.000 1.910 10.451 H
0.000 0.000 3.645 Pd
0.000 0.000 19.580 Pd
```

Peak list (6 most intense, 15 to 90 degrees two-theta, sorted by position)
2θ (°), I/Imax
30.29, 98
33.16, 100
35.84, 44
45.88, 25
47.60, 38
57.46, 34